Diffraction record for K2SrVB5O12. The PXRD pattern is computed, not measured: it uses a crystal structure in Alexandria, relaxed with PBE+U and Cu Ka.

Crystal structure
```
data_K2SrVB5O12
_chemical_formula_sum 'K4 Sr2 V2 B10 O24'
_cell_length_a 6.7153
_cell_length_b 8.6220
_cell_length_c 10.0747
_cell_angle_alpha 90.00
_cell_angle_beta 99.54
_cell_angle_gamma 90.00
_space_group_name_H-M_alt 'P 1 21 1'
_space_group_IT_number 4
loop_
_space_group_symop_operation_xyz
'x,y,z'
'-x,y+1/2,-z'
loop_
_atom_site_label
_atom_site_type_symbol
_atom_site_fract_x
_atom_site_fract_y
_atom_site_fract_z
K1 K 0.0983 0.0000 0.4030
K2 K 0.1678 0.4131 0.2562
Sr1 Sr 0.4302 0.5320 0.9725
V1 V 0.3404 0.7456 0.6929
B1 B 0.0187 0.2189 0.9088
B2 B 0.1208 0.9811 0.0689
B3 B 0.2798 0.2241 0.7457
B4 B 0.3399 0.7751 0.1977
B5 B 0.4784 0.2386 0.5651
O1 O 0.0433 0.3842 0.9613
O2 O 0.0942 0.2077 0.7792
O3 O 0.1292 0.8409 0.6246
O4 O 0.1399 0.1226 0.0116
O5 O 0.1962 0.6735 0.1147
O6 O 0.2696 0.5637 0.7334
O7 O 0.2893 0.9392 0.1622
O8 O 0.2930 0.2178 0.6083
O9 O 0.3468 0.7529 0.3444
O10 O 0.4547 0.2435 0.8398
O11 O 0.4581 0.8302 0.8411
O12 O 0.4731 0.2405 0.4280
```

Peak list (6 most intense, 2θ from 15° to 90°, by angle)
2θ 22.48, intensity 257, hkl 0 2 1
2θ 26.99, intensity 1000, hkl 1 2 1
2θ 27.39, intensity 283, hkl 0 2 2
2θ 28.88, intensity 417, hkl 2 1 0
2θ 29.22, intensity 214, hkl 1 2 -2
2θ 40.95, intensity 200, hkl 2 2 -3